For Pr3Sm4Y4, a crystal structure in Alexandria, relaxed with GGA-PBE gives the calculated powder X-ray diffraction pattern in this record (Cu Kα X-rays).
Peak positions follow from Bragg's law for the DFT cell and can differ from measured ones.

Principal peaks in the range 2θ from 15° to 90°, in order of rising 2θ:
- 2θ = 30.19°, intensity 34
- 2θ = 30.51°, intensity 17
- 2θ = 30.86°, intensity 38
- 2θ = 31.62°, intensity 100
- 2θ = 33.28°, intensity 15
- 2θ = 43.94°, intensity 12
- 2θ = 46.02°, intensity 12
- 2θ = 55.36°, intensity 20
- 2θ = 61.32°, intensity 13
- 2θ = 61.70°, intensity 13

Structure:
Lattice parameters (Å, degrees): 10.7693 6.7448 6.7448 50.89 90.00 90.00
Positions (direct):
Pr 0.0000 0.0000 0.0000
Pr 0.2961 0.1501 0.1501
Pr 0.7039 0.1501 0.1501
Sm 0.0000 0.7046 0.7046
Sm 0.2121 0.5014 0.5014
Sm 0.5000 0.6304 0.6304
Sm 0.7879 0.5014 0.5014
Y 0.0000 0.3015 0.3015
Y 0.2966 0.8462 0.8462
Y 0.5000 0.3599 0.3599
Y 0.7034 0.8462 0.8462



For Pr11Sm4Y9, a crystal structure in Alexandria, relaxed with GGA-PBE gives the calculated powder X-ray diffraction pattern in this record (Cu Kα X-rays).
Peak positions follow from Bragg's law for the DFT cell and can differ from measured ones.

Principal peaks in the range 2θ from 15° to 90°, in order of rising 2θ:
- 2θ = 29.31°, intensity 96
- 2θ = 29.49°, intensity 49
- 2θ = 30.41°, intensity 36
- 2θ = 31.24°, intensity 18
- 2θ = 31.45°, intensity 23
- 2θ = 31.67°, intensity 100
- 2θ = 31.78°, intensity 100
- 2θ = 33.45°, intensity 27
- 2θ = 48.84°, intensity 29
- 2θ = 57.98°, intensity 33

Structure:
Lattice parameters (Å, degrees): 15.5621 15.5621 3.7303 90.00 90.00 113.03
Positions (direct):
Pr 0.0000 0.0000 0.0000
Pr 0.0447 0.4067 0.0000
Pr 0.1597 0.8403 0.0000
Pr 0.2918 0.2918 0.0000
Pr 0.3677 0.6323 0.0000
Pr 0.4067 0.0447 0.0000
Pr 0.5933 0.9553 0.0000
Pr 0.6323 0.3677 0.0000
Pr 0.7082 0.7082 0.0000
Pr 0.8403 0.1597 0.0000
Pr 0.9553 0.5933 0.0000
Sm 0.2427 0.4450 0.5000
Sm 0.4450 0.2427 0.5000
Sm 0.5550 0.7573 0.5000
Sm 0.7573 0.5550 0.5000
Y 0.0664 0.2123 0.5000
Y 0.1642 0.6324 0.5000
Y 0.2123 0.0664 0.5000
Y 0.3676 0.8358 0.5000
Y 0.5000 0.5000 0.5000
Y 0.6324 0.1642 0.5000
Y 0.7877 0.9336 0.5000
Y 0.8358 0.3676 0.5000
Y 0.9336 0.7877 0.5000